For Na4V2O5, DFT lattice parameters and positions (PBE+U) gives the simulated powder X-ray diffraction pattern in this record (Cu Kα).
Neutral-atom scattering factors, no anomalous dispersion.

Structural model:
```
Na4V2O5
1.0
0.0000 4.6952 10.1459
3.0097 0.0000 10.1459
3.0097 4.6952 0.0000
Na V O
8 4 10
Direct
0.0317 0.5296 0.7195
0.2192 0.7195 0.5296
0.2805 0.7808 0.9683
0.4704 0.9683 0.7808
0.5296 0.0317 0.2192
0.7195 0.2192 0.0317
0.7808 0.2805 0.4704
0.9683 0.4704 0.2805
0.1691 0.5809 0.1691
0.4191 0.8309 0.4191
0.5809 0.1691 0.5809
0.8309 0.4191 0.8309
0.0570 0.0570 0.6930
0.1893 0.1893 0.5607
0.3070 0.3070 0.9430
0.3750 0.3750 0.3750
0.4393 0.4393 0.8107
0.5607 0.5607 0.1893
0.6250 0.6250 0.6250
0.6930 0.6930 0.0570
0.8107 0.8107 0.4393
0.9430 0.9430 0.3070
```

Top 6 peaks for 10 to 90 degrees two-theta, in order of falling intensity:
40.11 deg, rel. 100
20.85 deg, rel. 57
38.34 deg, rel. 43
32.61 deg, rel. 39
56.69 deg, rel. 38
18.04 deg, rel. 25


For NaV2O5, DFT lattice parameters and positions (PBE+U) gives the simulated powder X-ray diffraction pattern in this record (Cu Kα).
Neutral-atom scattering factors, no anomalous dispersion.

Structural model:
```
NaV2O5
1.0
3.7267 0.0000 0.0000
0.0000 5.0616 0.0000
0.0000 0.0000 11.7197
Na V O
2 4 10
Direct
0.0000 0.0948 0.0000
0.5000 0.9052 0.5000
0.0000 0.3941 0.6324
0.0000 0.6015 0.3311
0.5000 0.3985 0.8311
0.5000 0.6059 0.1324
0.0000 0.0698 0.6168
0.0000 0.4899 0.7985
0.0000 0.5196 0.4929
0.0000 0.5279 0.1620
0.0000 0.9259 0.3484
0.5000 0.0741 0.8484
0.5000 0.4721 0.6620
0.5000 0.4804 0.9929
0.5000 0.5101 0.2985
0.5000 0.9302 0.1168
```

Top 6 peaks for 10 to 90 degrees two-theta, in order of falling intensity:
19.10 deg, rel. 100
17.52 deg, rel. 96
33.55 deg, rel. 58
33.22 deg, rel. 53
25.07 deg, rel. 44
48.88 deg, rel. 35


For NaV6O15, DFT lattice parameters and positions (PBE+U) gives the simulated powder X-ray diffraction pattern in this record (Cu Kα).
Neutral-atom scattering factors, no anomalous dispersion.

Structural model:
```
NaV6O15
1.0
7.8665 -1.8319 0.0000
7.8665 1.8319 0.0000
-3.4592 0.0000 9.6705
Na V O
1 6 15
Direct
0.0000 0.0000 0.0000
0.1194 0.1194 0.5079
0.2892 0.2892 0.8014
0.3401 0.3401 0.4960
0.6682 0.6682 0.2937
0.7185 0.7185 0.9863
0.8872 0.8872 0.2787
0.0039 0.0039 0.3939
0.1136 0.1136 0.6633
0.1913 0.1913 0.3402
0.2491 0.2491 0.9670
0.2666 0.2666 0.6142
0.3714 0.3714 0.3215
0.3994 0.3994 0.8656
0.4389 0.4389 0.6114
0.5690 0.5690 0.1701
0.6089 0.6089 0.9282
0.6373 0.6373 0.4674
0.7434 0.7434 0.1720
0.7604 0.7604 0.8173
0.8180 0.8180 0.4463
0.8971 0.8971 0.1242
```

Top 6 peaks for 10 to 90 degrees two-theta, in order of falling intensity:
11.95 deg, rel. 100
25.98 deg, rel. 76
28.57 deg, rel. 52
30.00 deg, rel. 48
49.77 deg, rel. 37
32.29 deg, rel. 31


For NaV6O15, DFT lattice parameters and positions (PBE+U) gives the simulated powder X-ray diffraction pattern in this record (Cu Kα).
Neutral-atom scattering factors, no anomalous dispersion.

Structural model:
```
NaV6O15
1.0
7.3039 0.0000 0.0000
1.8268 7.8251 0.0000
0.0001 3.4740 9.6723
Na V O
2 12 30
Direct
0.2478 0.0093 0.1046
0.7522 0.9907 0.8954
0.0819 0.6740 0.3979
0.1069 0.5729 0.0917
0.1921 0.2317 0.3845
0.3084 0.7662 0.6181
0.3934 0.4273 0.9087
0.4188 0.3262 0.6018
0.5812 0.6738 0.3982
0.6066 0.5727 0.0913
0.6916 0.2338 0.3819
0.8079 0.7683 0.6155
0.8931 0.4271 0.9083
0.9181 0.3260 0.6021
0.0385 0.8730 0.2788
0.0515 0.7941 0.0306
0.0669 0.7331 0.5746
0.1186 0.5256 0.2786
0.1277 0.4888 0.9254
0.1572 0.3696 0.5545
0.1956 0.2169 0.2285
0.2498 0.0006 0.4993
0.3039 0.7840 0.7713
0.3428 0.6272 0.4453
0.3724 0.5101 0.0755
0.3811 0.4754 0.7213
0.4335 0.2668 0.4255
0.4487 0.2062 0.9692
0.4751 0.1273 0.7212
0.5249 0.8727 0.2788
0.5513 0.7938 0.0308
0.5665 0.7332 0.5745
0.6189 0.5246 0.2787
0.6276 0.4899 0.9245
0.6572 0.3728 0.5547
0.6961 0.2160 0.2287
0.7502 0.9994 0.5007
0.8044 0.7831 0.7715
0.8428 0.6304 0.4455
0.8723 0.5112 0.0746
0.8814 0.4744 0.7214
0.9331 0.2669 0.4254
0.9485 0.2059 0.9694
0.9615 0.1270 0.7212
```

Top 6 peaks for 10 to 90 degrees two-theta, in order of falling intensity:
12.02 deg, rel. 100
26.06 deg, rel. 80
28.71 deg, rel. 55
30.04 deg, rel. 49
49.95 deg, rel. 38
32.37 deg, rel. 32


For NaV2O4, DFT lattice parameters and positions (PBE+U) gives the simulated powder X-ray diffraction pattern in this record (Cu Kα).
Neutral-atom scattering factors, no anomalous dispersion.

Structural model:
```
NaV2O4
1.0
0.0000 4.3121 4.3121
4.3121 0.0000 4.3121
4.3121 4.3121 0.0000
Na V O
2 4 8
Direct
0.1250 0.1250 0.1250
0.8750 0.8750 0.8750
0.0000 0.5000 0.5000
0.5000 0.0000 0.5000
0.5000 0.5000 0.0000
0.5000 0.5000 0.5000
0.2694 0.2694 0.2694
0.2694 0.2694 0.6918
0.2694 0.6918 0.2694
0.3082 0.7306 0.7306
0.6918 0.2694 0.2694
0.7306 0.3082 0.7306
0.7306 0.7306 0.3082
0.7306 0.7306 0.7306
```

Top 6 peaks for 10 to 90 degrees two-theta, in order of falling intensity:
17.81 deg, rel. 100
34.49 deg, rel. 99
41.90 deg, rel. 61
60.75 deg, rel. 59
55.35 deg, rel. 49
29.29 deg, rel. 16


For NaV2O4, DFT lattice parameters and positions (PBE+U) gives the simulated powder X-ray diffraction pattern in this record (Cu Kα).
Neutral-atom scattering factors, no anomalous dispersion.

Structural model:
```
NaV2O4
1.0
5.1539 0.0000 0.0000
-0.0148 5.9969 0.0000
-0.0224 -0.0475 11.4810
Na V O
4 8 16
Direct
0.0000 0.0000 0.0000
0.0601 0.5003 0.4996
0.3810 0.4962 0.0009
0.6784 0.9975 0.4999
0.0213 0.4981 0.2414
0.0266 0.5011 0.7586
0.0316 0.0012 0.7403
0.0370 0.9983 0.2581
0.5277 0.2519 0.7509
0.5291 0.2481 0.2499
0.5291 0.7483 0.2498
0.5313 0.7428 0.7489
0.1796 0.7398 0.8423
0.1822 0.2472 0.8441
0.1865 0.2454 0.1567
0.1865 0.7501 0.1565
0.3415 0.4989 0.3329
0.3498 0.4962 0.6633
0.3505 0.9974 0.6601
0.3509 0.9988 0.3424
0.6948 0.4979 0.8432
0.7073 0.4975 0.1574
0.7167 0.9977 0.1664
0.7198 0.9972 0.8324
0.8720 0.2508 0.3430
0.8717 0.7462 0.6547
0.8718 0.7465 0.3428
0.8772 0.2587 0.6573
```

Top 6 peaks for 10 to 90 degrees two-theta, in order of falling intensity:
15.44 deg, rel. 100
47.16 deg, rel. 14
47.33 deg, rel. 14
47.43 deg, rel. 13
34.61 deg, rel. 12
38.04 deg, rel. 12


For NaV4O10, DFT lattice parameters and positions (PBE+U) gives the simulated powder X-ray diffraction pattern in this record (Cu Kα).
Neutral-atom scattering factors, no anomalous dispersion.

Structural model:
```
NaV4O10
1.0
5.8906 -1.8400 0.0000
5.8906 1.8400 0.0000
-1.8437 0.0000 9.3941
Na V O
1 4 10
Direct
0.0000 0.0000 0.0000
0.2969 0.2969 0.6680
0.4114 0.4114 0.3375
0.5886 0.5886 0.6625
0.7031 0.7031 0.3320
0.1238 0.1238 0.6379
0.2416 0.2416 0.3771
0.3498 0.3498 0.8383
0.4063 0.4063 0.1656
0.4350 0.4350 0.5959
0.5650 0.5650 0.4041
0.5937 0.5937 0.8344
0.6502 0.6502 0.1617
0.7584 0.7584 0.6229
0.8762 0.8762 0.3621
```

Top 6 peaks for 10 to 90 degrees two-theta, in order of falling intensity:
25.40 deg, rel. 100
28.50 deg, rel. 82
33.73 deg, rel. 64
27.67 deg, rel. 50
18.89 deg, rel. 49
49.54 deg, rel. 48


For NaV5O8, DFT lattice parameters and positions (PBE+U) gives the simulated powder X-ray diffraction pattern in this record (Cu Kα).
Neutral-atom scattering factors, no anomalous dispersion.

Structural model:
```
NaV5O8
1.0
5.3296 -1.4551 0.0000
5.3296 1.4551 0.0000
-2.1352 0.0000 10.0026
Na V O
1 5 8
Direct
0.0000 0.0000 0.0000
0.0000 0.0000 0.5000
0.2340 0.2340 0.3725
0.2374 0.2374 0.8696
0.7626 0.7626 0.1304
0.7660 0.7660 0.6275
0.1469 0.1469 0.6692
0.1570 0.1570 0.1887
0.3522 0.3522 0.0562
0.3729 0.3729 0.5548
0.6271 0.6271 0.4452
0.6478 0.6478 0.9438
0.8430 0.8430 0.8113
0.8531 0.8531 0.3308
```

Top 6 peaks for 10 to 90 degrees two-theta, in order of falling intensity:
42.08 deg, rel. 100
17.01 deg, rel. 97
43.27 deg, rel. 47
63.28 deg, rel. 25
60.59 deg, rel. 24
35.87 deg, rel. 22